ZrSnRh2: computed X-ray powder pattern (Cu Kα, 1.54184 Å), based on a structure optimized by DFT (GGA-PBE).
Intensities are scaled so that the largest is 100.

Crystal structure
Lattice parameters (Å, degrees): 4.631 4.631 4.631 60.00 60.00 60.00
Atoms (fractional coordinates):
Zr (0.000, 0.000, 0.000)
Sn (0.500, 0.500, 0.500)
Rh (0.250, 0.250, 0.250)
Rh (0.750, 0.750, 0.750)

Top 6 peaks for 2θ = 10–90°, low angle first:
2θ/deg  d (Å)  intensity
23.5  3.782  0.9
38.9  2.316  100.0
46.0  1.975  0.6
56.2  1.637  17.0
70.4  1.337  34.4
83.5  1.158  11.0